(1)
Theoretical powder diffractogram
Compound: SiPt2
Radiation: Cu Kα (λ = 1.5418 Å)
Structure: the PBE geometry in the Materials Project
Neutral-atom scattering factors, no anomalous dispersion.

Main lines, by angle (10 to 90 degrees two-theta):
Position (°2θ)	d/Å	intensity
27.24	3.273	25
37.05	2.426	100
40.44	2.231	19
42.17	2.143	23
48.15	1.890	24
50.50	1.807	13
72.34	1.306	15
78.08	1.224	12

Cell and atoms:
```
SiPt2
1.0
6.547 0.000 0.000
-3.273 5.670 0.000
0.000 0.000 3.614
Si Pt
3 6
direct
0.000 0.000 0.000
0.333 0.667 0.500
0.667 0.333 0.500
0.000 0.277 0.500
0.000 0.619 0.000
0.277 0.000 0.500
0.381 0.381 0.000
0.619 0.000 0.000
0.723 0.723 0.500
```

(2)
Theoretical powder diffractogram
Compound: SiPt2
Radiation: Cu Kα (λ = 1.5418 Å)
Structure: the PBE geometry in the Materials Project
Neutral-atom scattering factors, no anomalous dispersion.

Main lines, by angle (10 to 90 degrees two-theta):
Position (°2θ)	d/Å	intensity
29.84	2.994	53
31.77	2.816	90
44.15	2.051	100
45.55	1.991	46
55.41	1.658	39
71.35	1.322	18
80.22	1.197	18
83.22	1.161	33

Cell and atoms:
```
SiPt2
1.0
-1.991 1.991 2.994
1.991 -1.991 2.994
1.991 1.991 -2.994
Si Pt
1 2
direct
0.000 0.000 0.000
0.250 0.750 0.500
0.750 0.250 0.500
```

(3)
Theoretical powder diffractogram
Compound: Si5Pt12
Radiation: Cu Kα (λ = 1.5418 Å)
Structure: the PBE geometry in the Materials Project
Neutral-atom scattering factors, no anomalous dispersion.

Main lines, by angle (10 to 90 degrees two-theta):
Position (°2θ)	d/Å	intensity
29.42	3.036	37
34.74	2.582	56
37.26	2.413	22
37.45	2.402	64
39.83	2.263	36
42.08	2.147	70
44.06	2.055	100
70.62	1.334	28

Cell and atoms:
```
Si5Pt12
1.0
-4.801 4.801 2.792
4.801 -4.801 2.792
4.801 4.801 -2.792
Si Pt
5 12
direct
0.000 0.000 0.000
0.196 0.422 0.618
0.422 0.804 0.226
0.578 0.196 0.774
0.804 0.578 0.382
0.056 0.633 0.689
0.076 0.372 0.947
0.128 0.076 0.704
0.367 0.056 0.423
0.372 0.425 0.296
0.425 0.128 0.053
0.575 0.872 0.947
0.628 0.575 0.704
0.633 0.944 0.577
0.872 0.924 0.296
0.924 0.628 0.053
0.944 0.367 0.311
```

(4)
Theoretical powder diffractogram
Compound: SiPt
Radiation: Cu Kα (λ = 1.5418 Å)
Structure: the PBE geometry in the Materials Project
Neutral-atom scattering factors, no anomalous dispersion.

Main lines, by angle (10 to 90 degrees two-theta):
Position (°2θ)	d/Å	intensity
21.64	4.107	22
28.72	3.109	100
29.89	2.989	28
31.67	2.826	43
42.27	2.138	48
43.27	2.091	87
44.10	2.053	28
48.44	1.879	25

Cell and atoms:
```
SiPt
1.0
5.651 0.000 0.000
0.000 3.639 0.000
0.000 0.000 5.978
Si Pt
4 4
direct
0.178 0.250 0.083
0.322 0.750 0.583
0.678 0.250 0.417
0.822 0.750 0.917
0.005 0.750 0.307
0.495 0.250 0.807
0.505 0.750 0.193
0.995 0.250 0.693
```